# 1
Structure and calculated PXRD pattern of TmIn3Te4 (a structure optimized by DFT (GGA-PBE); Cu Kα).
Intensities are scaled so that the largest is 100.

Structural model:
a b c (Å): 15.888 15.888 15.888
angles (deg): 15.87 15.87 15.87
Element x y z (fractional)
Tm: 0.000 0.000 0.000
In: 0.248 0.248 0.248
In: 0.500 0.500 0.500
In: 0.752 0.752 0.752
Te: 0.130 0.130 0.130
Te: 0.370 0.370 0.370
Te: 0.630 0.630 0.630
Te: 0.870 0.870 0.870

Most intense lines, 15° ≤ 2θ ≤ 90°, low angle first:
| Position (°2θ) | I (rel.) |
| --- | --- |
| 28.0 | 100 |
| 38.7 | 38 |
| 41.2 | 36 |
| 46.3 | 6 |
| 50.5 | 19 |
| 57.8 | 12 |
| 63.7 | 15 |
| 67.1 | 16 |
| 68.4 | 5 |
| 73.4 | 11 |
| 75.0 | 6 |
| 89.4 | 4 |

=====

# 2
Structure and calculated PXRD pattern of LiHgBi (a structure optimized by DFT (GGA-PBE); Cu Kα).
Intensities are scaled so that the largest is 100.

Structural model:
a b c (Å): 5.797 3.324 7.769
angles (deg): 90.00 90.00 90.00
Element x y z (fractional)
Li: 0.250 0.000 0.235
Li: 0.750 0.000 0.765
Hg: 0.000 0.500 0.500
Hg: 0.500 0.500 0.500
Bi: 0.250 0.500 0.899
Bi: 0.750 0.500 0.101

Most intense lines, 15° ≤ 2θ ≤ 90°, low angle first:
| Position (°2θ) | I (rel.) |
| --- | --- |
| 19.1 | 38 |
| 22.9 | 59 |
| 26.8 | 100 |
| 27.6 | 44 |
| 33.0 | 99 |
| 33.1 | 24 |
| 34.6 | 24 |
| 35.5 | 43 |
| 38.9 | 38 |
| 43.0 | 97 |
| 64.2 | 32 |
| 65.9 | 28 |

=====

# 3
Structure and calculated PXRD pattern of NdCd6Ag2 (a structure optimized by DFT (GGA-PBE); Cu Kα).
Intensities are scaled so that the largest is 100.

Structural model:
a b c (Å): 9.608 9.608 4.860
angles (deg): 90.00 90.00 69.56
Element x y z (fractional)
Nd: 0.199 0.801 0.750
Nd: 0.801 0.199 0.250
Cd: 0.037 0.190 0.750
Cd: 0.052 0.382 0.250
Cd: 0.190 0.037 0.250
Cd: 0.269 0.549 0.250
Cd: 0.382 0.052 0.750
Cd: 0.451 0.731 0.250
Cd: 0.549 0.269 0.750
Cd: 0.618 0.948 0.250
Cd: 0.731 0.451 0.750
Cd: 0.810 0.963 0.750
Cd: 0.948 0.618 0.750
Cd: 0.963 0.810 0.250
Ag: 0.236 0.394 0.750
Ag: 0.394 0.236 0.250
Ag: 0.606 0.764 0.750
Ag: 0.764 0.606 0.250

Most intense lines, 15° ≤ 2θ ≤ 90°, low angle first:
| Position (°2θ) | I (rel.) |
| --- | --- |
| 27.9 | 17 |
| 31.1 | 20 |
| 32.7 | 15 |
| 33.5 | 18 |
| 34.9 | 100 |
| 37.0 | 53 |
| 37.7 | 90 |
| 42.2 | 25 |
| 53.8 | 19 |
| 65.3 | 15 |
| 71.7 | 11 |
| 78.8 | 13 |

=====

# 4
Structure and calculated PXRD pattern of CdHg3O4 (a structure optimized by DFT (GGA-PBE); Cu Kα).
Intensities are scaled so that the largest is 100.

Structural model:
a b c (Å): 3.697 6.052 6.052
angles (deg): 85.30 90.00 90.00
Element x y z (fractional)
Cd: 0.000 0.000 0.000
Hg: 0.000 0.396 0.396
Hg: 0.500 0.487 0.910
Hg: 0.500 0.910 0.487
O: 0.000 0.311 0.768
O: 0.000 0.768 0.311
O: 0.500 0.220 0.220
O: 0.500 0.848 0.848

Most intense lines, 15° ≤ 2θ ≤ 90°, low angle first:
| Position (°2θ) | I (rel.) |
| --- | --- |
| 28.3 | 25 |
| 29.6 | 88 |
| 31.5 | 100 |
| 32.1 | 22 |
| 32.6 | 72 |
| 34.3 | 26 |
| 40.5 | 21 |
| 49.3 | 19 |
| 51.8 | 36 |
| 53.0 | 23 |
| 55.2 | 22 |
| 58.6 | 39 |

=====

# 5
Structure and calculated PXRD pattern of Li3Hg (a structure optimized by DFT (GGA-PBE); Cu Kα).
Intensities are scaled so that the largest is 100.

Structural model:
a b c (Å): 3.193 3.193 9.548
angles (deg): 90.00 90.00 120.00
Element x y z (fractional)
Li: 0.000 0.000 0.000
Li: 0.667 0.333 0.264
Li: 0.667 0.333 0.736
Hg: 0.000 0.000 0.500

Most intense lines, 15° ≤ 2θ ≤ 90°, low angle first:
| Position (°2θ) | I (rel.) |
| --- | --- |
| 18.6 | 68 |
| 28.0 | 25 |
| 32.4 | 57 |
| 33.7 | 97 |
| 37.6 | 100 |
| 43.3 | 50 |
| 50.5 | 34 |
| 58.6 | 21 |
| 58.8 | 20 |
| 61.2 | 18 |
| 68.0 | 15 |
| 71.0 | 28 |

=====

# 6
Structure and calculated PXRD pattern of AcY4Ga4 (a structure optimized by DFT (GGA-PBE); Cu Kα).
Intensities are scaled so that the largest is 100.

Structural model:
a b c (Å): 9.505 9.505 5.893
angles (deg): 90.00 90.00 90.00
Element x y z (fractional)
Ac: 0.250 0.250 0.250
Ac: 0.750 0.750 0.750
Y: 0.087 0.650 0.133
Y: 0.150 0.913 0.633
Y: 0.350 0.587 0.633
Y: 0.413 0.850 0.133
Y: 0.587 0.150 0.867
Y: 0.650 0.413 0.367
Y: 0.850 0.087 0.367
Y: 0.913 0.350 0.867
Ga: 0.040 0.600 0.634
Ga: 0.100 0.960 0.134
Ga: 0.400 0.540 0.134
Ga: 0.460 0.900 0.634
Ga: 0.540 0.100 0.366
Ga: 0.600 0.460 0.866
Ga: 0.900 0.040 0.866
Ga: 0.960 0.400 0.366

Most intense lines, 15° ≤ 2θ ≤ 90°, low angle first:
| Position (°2θ) | I (rel.) |
| --- | --- |
| 17.7 | 51 |
| 25.8 | 55 |
| 26.5 | 13 |
| 29.7 | 100 |
| 31.8 | 35 |
| 37.4 | 29 |
| 41.9 | 28 |
| 42.1 | 25 |
| 42.5 | 25 |
| 43.0 | 15 |
| 46.2 | 16 |
| 50.4 | 14 |

=====

# 7
Structure and calculated PXRD pattern of Sr4GeN4 (a structure optimized by DFT (GGA-PBE); Cu Kα).
Intensities are scaled so that the largest is 100.

Structural model:
a b c (Å): 6.132 11.911 9.940
angles (deg): 90.00 90.00 90.00
Element x y z (fractional)
Sr: 0.118 0.126 0.104
Sr: 0.118 0.374 0.396
Sr: 0.148 0.250 0.750
Sr: 0.250 0.000 0.430
Sr: 0.250 0.500 0.070
Sr: 0.352 0.750 0.750
Sr: 0.382 0.626 0.396
Sr: 0.382 0.874 0.104
Sr: 0.618 0.126 0.896
Sr: 0.618 0.374 0.604
Sr: 0.648 0.250 0.250
Sr: 0.750 0.000 0.570
Sr: 0.750 0.500 0.930
Sr: 0.852 0.750 0.250
Sr: 0.882 0.626 0.604
Sr: 0.882 0.874 0.896
Ge: 0.250 0.000 0.747
Ge: 0.250 0.500 0.753
Ge: 0.750 0.000 0.253
Ge: 0.750 0.500 0.247
N: 0.017 0.072 0.854
N: 0.017 0.428 0.646
N: 0.096 0.612 0.856
N: 0.096 0.888 0.644
N: 0.404 0.112 0.644
N: 0.404 0.388 0.856
N: 0.483 0.572 0.646
N: 0.483 0.928 0.854
N: 0.517 0.072 0.146
N: 0.517 0.428 0.354
N: 0.596 0.612 0.144
N: 0.596 0.888 0.356
N: 0.904 0.112 0.356
N: 0.904 0.388 0.144
N: 0.983 0.572 0.354
N: 0.983 0.928 0.146

Most intense lines, 15° ≤ 2θ ≤ 90°, low angle first:
| Position (°2θ) | I (rel.) |
| --- | --- |
| 24.1 | 49 |
| 28.2 | 23 |
| 30.1 | 37 |
| 30.7 | 100 |
| 31.6 | 32 |
| 32.3 | 38 |
| 34.1 | 34 |
| 34.7 | 37 |
| 42.3 | 17 |
| 47.7 | 27 |
| 61.7 | 22 |
| 71.1 | 18 |

=====

# 8
Structure and calculated PXRD pattern of Ti2GeAs4 (a structure optimized by DFT (GGA-PBE); Cu Kα).
Intensities are scaled so that the largest is 100.

Structural model:
a b c (Å): 7.366 7.366 7.366
angles (deg): 141.12 141.12 56.16
Element x y z (fractional)
Ti: 0.102 0.102 0.000
Ti: 0.898 0.898 0.000
Ge: 0.500 0.500 0.000
As: 0.000 0.500 0.500
As: 0.288 0.288 0.000
As: 0.500 0.000 0.500
As: 0.712 0.712 0.000

Most intense lines, 15° ≤ 2θ ≤ 90°, low angle first:
| Position (°2θ) | I (rel.) |
| --- | --- |
| 25.7 | 33 |
| 27.4 | 27 |
| 29.2 | 58 |
| 36.7 | 100 |
| 39.2 | 81 |
| 46.4 | 26 |
| 52.8 | 35 |
| 54.8 | 55 |
| 67.7 | 15 |
| 79.5 | 19 |
| 84.3 | 15 |
| 89.4 | 16 |

=====

# 9
Structure and calculated PXRD pattern of PaCoIrRu (a structure optimized by DFT (GGA-PBE); Cu Kα).
Intensities are scaled so that the largest is 100.

Structural model:
a b c (Å): 3.954 3.987 4.044
angles (deg): 90.00 90.00 90.00
Element x y z (fractional)
Pa: 0.000 0.000 0.000
Co: 0.500 0.000 0.500
Ir: 0.000 0.500 0.500
Ru: 0.500 0.500 0.000

Most intense lines, 15° ≤ 2θ ≤ 90°, low angle first:
| Position (°2θ) | I (rel.) |
| --- | --- |
| 22.5 | 18 |
| 31.5 | 16 |
| 39.1 | 100 |
| 44.8 | 17 |
| 45.5 | 16 |
| 45.9 | 16 |
| 65.8 | 11 |
| 66.1 | 11 |
| 78.8 | 13 |
| 79.7 | 13 |
| 80.3 | 12 |
| 83.9 | 11 |

=====

# 10
Structure and calculated PXRD pattern of K3USi2O8 (a structure optimized by DFT (GGA-PBE); Cu Kα).
Intensities are scaled so that the largest is 100.

Structural model:
a b c (Å): 5.705 5.705 8.202
angles (deg): 90.00 90.00 120.00
Element x y z (fractional)
K: 0.000 0.000 0.000
K: 0.333 0.667 0.769
K: 0.667 0.333 0.231
U: 0.000 0.000 0.500
Si: 0.333 0.667 0.269
Si: 0.667 0.333 0.731
O: 0.176 0.353 0.345
O: 0.176 0.824 0.345
O: 0.333 0.667 0.076
O: 0.353 0.176 0.655
O: 0.647 0.824 0.345
O: 0.667 0.333 0.924
O: 0.824 0.176 0.655
O: 0.824 0.647 0.655

Most intense lines, 15° ≤ 2θ ≤ 90°, low angle first:
| Position (°2θ) | I (rel.) |
| --- | --- |
| 18.0 | 48 |
| 21.0 | 83 |
| 28.3 | 100 |
| 31.4 | 61 |
| 37.6 | 15 |
| 38.0 | 16 |
| 42.7 | 38 |
| 46.0 | 12 |
| 50.1 | 19 |
| 53.9 | 31 |
| 55.2 | 23 |
| 72.8 | 14 |